(1)
The following is a simulated X-ray powder pattern of Ce6Al2FeH. It was derived from DFT lattice parameters and positions (PBE), using Cu Kα, 1.54184 Å.

The 10 most intense peaks (2θ from 10° to 90°), by angle:
| 2theta | I/Imax | index |
| --- | --- | --- |
| 18.25 | 239 | 0 2 0 |
| 31.80 | 1000 | 2 2 0 |
| 36.72 | 218 | 0 0 2 |
| 36.97 | 440 | 4 0 -2 |
| 53.07 | 222 | 4 0 0 |
| 53.29 | 150 | 4 4 -2 |
| 63.06 | 128 | 2 2 2 |
| 63.34 | 133 | 2 6 0 |
| 63.47 | 134 | 6 2 -2 |
| 66.46 | 147 | 4 4 0 |

Structural model:
```
data_Ce6Al2FeH
_symmetry_space_group_name_H-M 'C 1 2/m 1'
_symmetry_Int_Tables_number 12
_symmetry_space_group_name_Hall '-C 2y'
_cell_length_a 9.713
_cell_length_b 9.737
_cell_length_c 6.890
_cell_angle_alpha 90.00
_cell_angle_beta 134.72
_cell_angle_gamma 90.00
loop_
_atom_site_label
_atom_site_fract_x
_atom_site_fract_y
_atom_site_fract_z
Ce1 0.000 0.240 0.000
Ce2 0.236 0.000 0.470
Ce3 0.243 0.000 0.001
Al1 0.000 0.250 0.500
Fe1 0.000 0.500 0.000
H1 0.000 0.000 0.000
```

***

(2)
The following is a simulated X-ray powder pattern of Ce5AlGa3. It was derived from DFT lattice parameters and positions (PBE), using Cu Kα, 1.54184 Å.

The 10 most intense peaks (2θ from 10° to 90°), by angle:
| 2theta | I/Imax | index |
| --- | --- | --- |
| 11.29 | 103 | 1 0 0 |
| 24.25 | 164 | 1 1 1 |
| 33.45 | 176 | 2 1 1 |
| 34.33 | 1000 | 3 0 0 |
| 34.79 | 941 | 1 1 2 |
| 49.67 | 313 | 2 2 2 |
| 61.48 | 153 | 3 3 0 |
| 61.77 | 275 | 4 1 2 |
| 69.93 | 247 | 3 0 4 |
| 82.84 | 109 | 5 2 2 |

Structural model:
```
data_Ce5AlGa3
_symmetry_space_group_name_H-M 'P 63/m c m'
_symmetry_Int_Tables_number 193
_symmetry_space_group_name_Hall '-P 6c 2'
_cell_length_a 9.0500
_cell_length_b 9.0500
_cell_length_c 6.2771
_cell_angle_alpha 90.00
_cell_angle_beta 90.00
_cell_angle_gamma 120.00
loop_
_atom_site_label
_atom_site_fract_x
_atom_site_fract_y
_atom_site_fract_z
Ce1 0.0000 0.3004 0.2500
Ce2 0.3333 0.6667 0.0000
Al1 0.0000 0.0000 0.0000
Ga1 0.0000 0.3576 0.7500
```